Calculated XRD peak list
Compound: Pr2YAs3
Radiation: a wavelength of 1.5418 Å
Structure: a PBE-relaxed structure

Peak list (10 most intense, 15° ≤ 2θ ≤ 90°, by angle)
hkl 1 0 1, 21.5 deg, intensity 2; hkl 1 0 3, 25.7 deg, intensity 11; hkl 1 1 0, 29.7 deg, intensity 100; hkl 2 0 0, 42.5 deg, intensity 75; hkl 1 0 9, 50.3 deg, intensity 5; hkl 2 0 6, 52.8 deg, intensity 26; hkl 2 2 0, 61.7 deg, intensity 12; hkl 2 1 9, 68.0 deg, intensity 2; hkl 3 1 0, 70.0 deg, intensity 33; hkl 3 1 6, 77.8 deg, intensity 25

Crystal structure
Lattice parameters (Å, degrees): 4.2520 4.2520 18.0202 90.00 90.00 90.00
Space group I4/mmm (No. 139)
Unique sites:
Pr  0.0000  0.0000  0.1660 (multiplicity 4)
Y  0.0000  0.0000  0.5000 (multiplicity 2)
As  0.0000  0.0000  0.0000 (multiplicity 2)
As  0.0000  0.0000  0.3363 (multiplicity 4)